[1]
Structure and theoretical XRD peak list of DyAlSi2 (the GGA-PBE geometry in Alexandria; copper Kα).
Kinematic intensities with the Lorentz-polarization factor, no thermal factor.

```
data_DyAlSi2
_chemical_formula_sum 'Dy8 Al8 Si16'
_cell_length_a 12.877
_cell_length_b 4.156
_cell_length_c 11.229
_cell_angle_alpha 90.00
_cell_angle_beta 90.00
_cell_angle_gamma 90.00
_symmetry_space_group_name_H-M 'P n m a'
_symmetry_Int_Tables_number 62
_symmetry_space_group_name_Hall '-P 2ac 2n'
loop_
_atom_site_label
_atom_site_type_symbol
_atom_site_fract_x
_atom_site_fract_y
_atom_site_fract_z
Dy1 Dy 0.051 0.250 0.228
Dy2 Dy 0.200 0.750 0.965
Al1 Al 0.065 0.250 0.553
Al2 Al 0.190 0.750 0.656
Si1 Si 0.028 0.250 0.964
Si2 Si 0.110 0.250 0.779
Si3 Si 0.130 0.750 0.428
Si4 Si 0.211 0.750 0.231
```

Main lines, in order of falling intensity (2θ from 15° to 90°):
d_spacing  I (rel.)  (hkl)
2.545  1000  4 1 0
2.553  732  2 1 3
4.232  630  2 0 2
2.965  543  2 1 2
1.863  407  6 0 3
3.730  397  1 1 1
2.078  378  0 2 0
2.719  362  1 1 3

***

[2]
Structure and theoretical XRD peak list of Dy3AlSi2 (the GGA-PBE geometry in Alexandria; copper Kα).
Kinematic intensities with the Lorentz-polarization factor, no thermal factor.

```
data_Dy3AlSi2
_chemical_formula_sum 'Dy12 Al4 Si8'
_cell_length_a 11.490
_cell_length_b 4.151
_cell_length_c 11.512
_cell_angle_alpha 90.00
_cell_angle_beta 90.00
_cell_angle_gamma 90.00
_symmetry_space_group_name_H-M 'P n m a'
_symmetry_Int_Tables_number 62
_symmetry_space_group_name_Hall '-P 2ac 2n'
loop_
_atom_site_label
_atom_site_type_symbol
_atom_site_fract_x
_atom_site_fract_y
_atom_site_fract_z
Dy1 Dy 0.056 0.250 0.119
Dy2 Dy 0.127 0.750 0.564
Dy3 Dy 0.199 0.250 0.801
Al1 Al 0.134 0.250 0.369
Si1 Si 0.023 0.750 0.317
Si2 Si 0.188 0.750 0.996
```

Main lines, in order of falling intensity (2θ from 15° to 90°):
d_spacing  I (rel.)  (hkl)
2.818  1000  0 1 3
2.790  899  1 0 4
2.529  754  3 1 2
3.697  598  1 1 1
3.230  590  2 1 1
2.735  582  3 1 1
3.189  538  3 0 2
2.905  535  2 1 2

***

[3]
Structure and theoretical XRD peak list of Dy4Al5Si6 (the GGA-PBE geometry in Alexandria; copper Kα).
Kinematic intensities with the Lorentz-polarization factor, no thermal factor.

```
data_Dy4Al5Si6
_chemical_formula_sum 'Dy16 Al20 Si24'
_cell_length_a 4.172
_cell_length_b 18.873
_cell_length_c 15.040
_cell_angle_alpha 90.00
_cell_angle_beta 90.00
_cell_angle_gamma 90.00
_symmetry_space_group_name_H-M 'C m c 21'
_symmetry_Int_Tables_number 36
_symmetry_space_group_name_Hall 'C 2c -2'
loop_
_atom_site_label
_atom_site_type_symbol
_atom_site_fract_x
_atom_site_fract_y
_atom_site_fract_z
Dy1 Dy 0.000 0.016 0.000
Dy2 Dy 0.000 0.039 0.268
Dy3 Dy 0.000 0.164 0.808
Dy4 Dy 0.000 0.181 0.446
Al1 Al 0.000 0.151 0.128
Al2 Al 0.000 0.306 0.118
Al3 Al 0.000 0.340 0.780
Al4 Al 0.000 0.356 0.475
Al5 Al 0.000 0.445 0.181
Si1 Si 0.000 0.110 0.619
Si2 Si 0.000 0.216 0.989
Si3 Si 0.000 0.231 0.260
Si4 Si 0.000 0.427 0.630
Si5 Si 0.000 0.428 0.909
Si6 Si 0.000 0.448 0.353
```

Main lines, in order of falling intensity (2θ from 15° to 90°):
d_spacing  I (rel.)  (hkl)
2.444  1000  1 5 3
4.074  813  1 1 0
2.763  625  1 1 4
3.160  514  1 1 3
2.752  467  1 5 1
2.086  459  2 0 0
3.436  457  0 4 3
2.799  427  1 5 0

***

[4]
Structure and theoretical XRD peak list of Sm3DyAl3 (the GGA-PBE geometry in Alexandria; copper Kα).
Kinematic intensities with the Lorentz-polarization factor, no thermal factor.

```
data_Sm3DyAl3
_chemical_formula_sum 'Sm12 Dy4 Al12'
_cell_length_a 10.326
_cell_length_b 10.515
_cell_length_c 6.989
_cell_angle_alpha 90.00
_cell_angle_beta 90.00
_cell_angle_gamma 90.00
_symmetry_space_group_name_H-M 'C m m m'
_symmetry_Int_Tables_number 65
_symmetry_space_group_name_Hall '-C 2 2'
loop_
_atom_site_label
_atom_site_type_symbol
_atom_site_fract_x
_atom_site_fract_y
_atom_site_fract_z
Sm1 Sm 0.000 0.246 0.000
Sm2 Sm 0.232 0.000 0.500
Sm3 Sm 0.248 0.000 0.000
Dy1 Dy 0.000 0.249 0.500
Al1 Al 0.000 0.500 0.266
Al2 Al 0.250 0.250 0.258
```

Main lines, in order of falling intensity (2θ from 15° to 90°):
d_spacing  I (rel.)  (hkl)
2.535  1000  2 2 2
3.684  774  2 2 0
3.495  346  0 0 2
2.629  280  0 4 0
2.581  255  4 0 0
1.499  196  2 6 2
1.842  187  4 4 0
1.481  174  6 2 2

***

[5]
Structure and theoretical XRD peak list of Sm2Dy3Al3 (the GGA-PBE geometry in Alexandria; copper Kα).
Kinematic intensities with the Lorentz-polarization factor, no thermal factor.

```
data_Sm2Dy3Al3
_chemical_formula_sum 'Sm2 Dy3 Al3'
_cell_length_a 4.818
_cell_length_b 4.824
_cell_length_c 8.900
_cell_angle_alpha 90.00
_cell_angle_beta 90.00
_cell_angle_gamma 90.00
_symmetry_space_group_name_H-M 'P m m m'
_symmetry_Int_Tables_number 47
_symmetry_space_group_name_Hall '-P 2 2'
loop_
_atom_site_label
_atom_site_type_symbol
_atom_site_fract_x
_atom_site_fract_y
_atom_site_fract_z
Sm1 Sm 0.000 0.000 0.232
Dy1 Dy 0.500 0.000 0.500
Dy2 Dy 0.500 0.500 0.223
Al1 Al 0.000 0.500 0.000
Al2 Al 0.000 0.500 0.500
Al3 Al 0.500 0.000 0.000
```

Main lines, in order of falling intensity (2θ from 15° to 90°):
d_spacing  I (rel.)  (hkl)
2.706  1000  1 1 2
2.410  384  2 0 0
1.442  290  3 1 2
3.409  186  1 1 0
1.635  183  2 0 4
4.450  154  0 0 2
1.704  134  2 2 0
2.225  119  0 0 4

***

[6]
Structure and theoretical XRD peak list of SmDyAlTl (the GGA-PBE geometry in Alexandria; copper Kα).
Kinematic intensities with the Lorentz-polarization factor, no thermal factor.

```
data_SmDyAlTl
_chemical_formula_sum 'Sm1 Dy1 Al1 Tl1'
_cell_length_a 3.682
_cell_length_b 3.682
_cell_length_c 7.734
_cell_angle_alpha 90.00
_cell_angle_beta 90.00
_cell_angle_gamma 90.00
_symmetry_space_group_name_H-M 'P 4 m m'
_symmetry_Int_Tables_number 99
_symmetry_space_group_name_Hall 'P 4 -2'
loop_
_atom_site_label
_atom_site_type_symbol
_atom_site_fract_x
_atom_site_fract_y
_atom_site_fract_z
Sm1 Sm 0.000 0.000 0.000
Dy1 Dy 0.000 0.000 0.472
Al1 Al 0.500 0.500 0.242
Tl1 Tl 0.500 0.500 0.728
```

Main lines, in order of falling intensity (2θ from 15° to 90°):
d_spacing  I (rel.)  (hkl)
2.667  1000  1 0 2
2.604  478  1 1 0
1.515  361  2 1 2
3.325  250  1 0 1
1.552  183  1 1 4
1.841  173  2 0 0
1.333  110  2 0 4
1.934  92  0 0 4

***

[7]
Structure and theoretical XRD peak list of Dy4AlSn (the GGA-PBE geometry in Alexandria; copper Kα).
Kinematic intensities with the Lorentz-polarization factor, no thermal factor.

```
data_Dy4AlSn
_chemical_formula_sum 'Dy16 Al4 Sn4'
_cell_length_a 7.205
_cell_length_b 7.205
_cell_length_c 14.401
_cell_angle_alpha 90.00
_cell_angle_beta 90.00
_cell_angle_gamma 90.00
_symmetry_space_group_name_H-M 'I 41/a m d'
_symmetry_Int_Tables_number 141
loop_
_symmetry_equiv_pos_as_xyz
'x,y,z'
'-x,-y,-z'
'-y+1/4,x+3/4,z+1/4'
'y+1/4,-x+3/4,-z+1/4'
'-x+1/2,-y,z+1/2'
'x+1/2,y,-z+1/2'
'y+1/4,-x+1/4,z+3/4'
'-y+1/4,x+1/4,-z+3/4'
'x,-y,-z'
'-x,y,z'
'-y+1/4,-x+1/4,-z+3/4'
'y+1/4,x+1/4,z+3/4'
'-x+1/2,y,-z+1/2'
'x+1/2,-y,z+1/2'
'y+1/4,x+3/4,-z+1/4'
'-y+1/4,-x+3/4,z+1/4'
'x+1/2,y+1/2,z+1/2'
'-x+1/2,-y+1/2,-z+1/2'
'-y+3/4,x+1/4,z+3/4'
'y+3/4,-x+1/4,-z+3/4'
'-x,-y+1/2,z'
'x,y+1/2,-z'
'y+3/4,-x+3/4,z+1/4'
'-y+3/4,x+3/4,-z+1/4'
'x+1/2,-y+1/2,-z+1/2'
'-x+1/2,y+1/2,z+1/2'
'-y+3/4,-x+3/4,-z+1/4'
'y+3/4,x+3/4,z+1/4'
'-x,y+1/2,-z'
'x,-y+1/2,z'
'y+3/4,x+1/4,-z+3/4'
'-y+3/4,-x+1/4,z+3/4'
loop_
_atom_site_label
_atom_site_type_symbol
_atom_site_fract_x
_atom_site_fract_y
_atom_site_fract_z
Dy1 Dy 0.240 0.000 0.000
Al1 Al 0.000 0.250 0.875
Sn1 Sn 0.000 0.250 0.375
```

Main lines, in order of falling intensity (2θ from 15° to 90°):
d_spacing  I (rel.)  (hkl)
2.547  1000  2 0 4
3.602  484  0 0 4
1.470  364  2 2 8
1.611  188  2 0 8
1.801  178  0 0 8
1.139  161  2 0 12
2.080  142  2 2 4
1.273  113  4 0 8

***

[8]
Structure and theoretical XRD peak list of TbDy12Al3 (the GGA-PBE geometry in Alexandria; copper Kα).
Kinematic intensities with the Lorentz-polarization factor, no thermal factor.

```
data_TbDy12Al3
_chemical_formula_sum 'Tb1 Dy12 Al3'
_cell_length_a 4.793
_cell_length_b 4.793
_cell_length_c 19.527
_cell_angle_alpha 90.00
_cell_angle_beta 90.00
_cell_angle_gamma 90.00
_symmetry_space_group_name_H-M 'P 4/m m m'
_symmetry_Int_Tables_number 123
_symmetry_space_group_name_Hall '-P 4 2'
loop_
_atom_site_label
_atom_site_type_symbol
_atom_site_fract_x
_atom_site_fract_y
_atom_site_fract_z
Tb1 Tb 0.000 0.000 0.000
Dy1 Dy 0.000 0.500 0.134
Dy2 Dy 0.000 0.500 0.378
Dy3 Dy 0.500 0.500 0.000
Dy4 Dy 0.500 0.500 0.257
Dy5 Dy 0.500 0.500 0.500
Al1 Al 0.000 0.000 0.258
Al2 Al 0.000 0.000 0.500
```

Main lines, in order of falling intensity (2θ from 15° to 90°):
d_spacing  I (rel.)  (hkl)
2.784  1000  1 1 4
2.397  334  2 0 0
1.448  276  3 1 4
1.710  218  2 0 8
2.441  160  0 0 8
1.694  125  2 2 0
1.467  116  1 1 12
1.392  110  2 2 8

***

[9]
Structure and theoretical XRD peak list of TbDy3Al3 (the GGA-PBE geometry in Alexandria; copper Kα).
Kinematic intensities with the Lorentz-polarization factor, no thermal factor.

```
data_TbDy3Al3
_chemical_formula_sum 'Tb4 Dy12 Al12'
_cell_length_a 10.220
_cell_length_b 10.256
_cell_length_c 6.926
_cell_angle_alpha 90.00
_cell_angle_beta 90.00
_cell_angle_gamma 90.00
_symmetry_space_group_name_H-M 'C m m m'
_symmetry_Int_Tables_number 65
_symmetry_space_group_name_Hall '-C 2 2'
loop_
_atom_site_label
_atom_site_type_symbol
_atom_site_fract_x
_atom_site_fract_y
_atom_site_fract_z
Tb1 Tb 0.243 0.000 0.000
Dy1 Dy 0.000 0.244 0.500
Dy2 Dy 0.000 0.246 0.000
Dy3 Dy 0.243 0.000 0.500
Al1 Al 0.000 0.500 0.253
Al2 Al 0.250 0.250 0.251
```

Main lines, in order of falling intensity (2θ from 15° to 90°):
d_spacing  I (rel.)  (hkl)
2.502  1000  2 2 2
3.620  786  2 2 0
3.463  354  0 0 2
2.564  267  0 4 0
2.555  263  4 0 0
1.468  189  2 6 2
1.810  187  4 4 0
1.465  185  6 2 2

***

[10]
Structure and theoretical XRD peak list of Tb8DyAl6 (the GGA-PBE geometry in Alexandria; copper Kα).
Kinematic intensities with the Lorentz-polarization factor, no thermal factor.

```
data_Tb8DyAl6
_chemical_formula_sum 'Tb24 Dy3 Al18'
_cell_length_a 8.6958
_cell_length_b 8.6958
_cell_length_c 18.8500
_cell_angle_alpha 90.00
_cell_angle_beta 90.00
_cell_angle_gamma 120.00
_symmetry_space_group_name_H-M 'R -3'
_symmetry_Int_Tables_number 148
_symmetry_space_group_name_Hall '-R 3'
loop_
_atom_site_label
_atom_site_type_symbol
_atom_site_fract_x
_atom_site_fract_y
_atom_site_fract_z
Tb1 Tb 0.0000 0.0000 0.1664
Tb2 Tb 0.0000 0.3333 0.0506
Dy1 Dy 0.0000 0.0000 0.5000
Al1 Al 0.9999 0.3326 0.5526
```

Main lines, in order of falling intensity (2θ from 15° to 90°):
d_spacing  I (rel.)  (hkl)
3.575  1000  1 1 3
2.546  646  2 -1 6
2.510  620  3 0 0
1.456  229  5 -1 6
1.788  225  2 2 6
2.054  222  4 -2 3
1.590  198  4 1 3
1.608  192  3 0 9

***

[11]
Structure and theoretical XRD peak list of DyAl4Tc (the GGA-PBE geometry in Alexandria; copper Kα).
Kinematic intensities with the Lorentz-polarization factor, no thermal factor.

```
data_DyAl4Tc
_chemical_formula_sum 'Dy4 Al16 Tc4'
_cell_length_a 4.525
_cell_length_b 14.339
_cell_length_c 6.829
_cell_angle_alpha 90.00
_cell_angle_beta 90.00
_cell_angle_gamma 90.00
_symmetry_space_group_name_H-M 'C m c m'
_symmetry_Int_Tables_number 63
_symmetry_space_group_name_Hall '-C 2c 2'
loop_
_atom_site_label
_atom_site_type_symbol
_atom_site_fract_x
_atom_site_fract_y
_atom_site_fract_z
Dy1 Dy 0.000 0.117 0.250
Al1 Al 0.000 0.085 0.750
Al2 Al 0.000 0.263 0.576
Al3 Al 0.000 0.500 0.000
Tc1 Tc 0.000 0.344 0.250
```

Main lines, in order of falling intensity (2θ from 15° to 90°):
d_spacing  I (rel.)  (hkl)
3.648  1000  1 1 1
2.472  698  0 4 2
2.283  565  1 5 1
2.961  551  1 3 1
3.415  486  0 0 2
2.013  447  1 1 3
1.669  418  2 4 2
2.262  407  2 0 0